[1]
Diffraction record for NaCdBi. The PXRD pattern is computed, not measured: it uses a structure optimized by DFT (GGA-PBE) and CuKα.
Kinematic intensities with the Lorentz-polarization factor, no thermal factor.

Cell and atoms:
```
NaCdBi
1.0
8.1931 0.0000 0.0000
0.0000 4.8814 0.0000
0.0000 0.0000 8.9880
Na Cd Bi
4 4 4
Cartesian
0.1801 1.2204 1.6312
3.9165 3.6611 6.1252
4.2766 1.2204 2.8628
8.0131 3.6611 7.3567
1.1772 1.2204 5.1535
2.9193 3.6611 0.6595
5.2738 1.2204 8.3285
7.0159 3.6611 3.8345
1.9028 3.6611 3.5074
2.1937 1.2204 8.0014
5.9994 3.6611 0.9866
6.2903 1.2204 5.4806
```

Main lines, in order of falling intensity (2θ = 10–80°):
two_theta	I (rel.)
20.71	100
35.15	96
30.17	82
36.84	82
21.69	73
39.10	57



[2]
Diffraction record for Cd4Bi2O7. The PXRD pattern is computed, not measured: it uses a structure optimized by DFT (GGA-PBE) and CuKα.
Kinematic intensities with the Lorentz-polarization factor, no thermal factor.

Cell and atoms:
```
Cd4Bi2O7
1.0
9.2668 0.0000 0.0000
3.9300 9.6545 0.0000
4.3476 0.2472 9.6720
Cd Bi O
16 8 28
Cartesian
0.0000 0.0000 0.0000
3.6123 7.1119 1.5407
5.2930 3.7206 7.7982
7.7894 7.4578 7.1197
8.0841 5.3191 9.0700
7.2893 8.2648 3.2774
5.8761 4.9360 2.1883
10.3575 9.8181 6.9842
6.2173 2.2439 4.3071
6.6846 7.4108 0.3724
8.4717 5.0508 4.5988
8.7532 2.8512 6.8078
6.1871 0.3482 1.7634
10.8309 3.2046 9.4019
10.8216 7.5897 4.4243
12.3854 1.7355 6.6125
5.2363 6.4080 5.1925
2.9979 1.6179 0.7007
11.2545 5.8169 7.3203
13.9605 9.2665 7.9356
9.7382 6.1455 1.1904
8.9715 2.8003 1.9536
9.4831 0.5334 4.3467
12.0200 4.0518 3.7120
5.8313 5.8519 7.1877
3.5348 4.7462 1.8358
5.2026 7.2074 3.1050
5.2398 1.9136 6.3022
5.4716 4.4519 4.3599
7.3814 6.9165 5.0079
7.4687 3.2841 8.4850
10.5528 9.6847 9.2796
4.1129 0.4109 2.5261
10.3170 5.5071 9.5058
9.9678 7.6969 6.5863
7.8263 6.2998 2.1278
9.3924 4.9696 6.7240
6.5352 2.7579 2.0016
9.7148 1.3160 9.3787
11.3524 9.7680 4.9265
8.4385 2.7551 4.4532
13.1655 7.6353 9.3302
10.7281 7.8206 2.1451
10.3111 5.3413 3.3941
10.2582 1.3830 6.3037
12.1921 3.7118 7.7273
8.4755 0.6854 1.9953
12.3484 6.0287 5.1891
14.2071 8.4276 5.7303
10.9480 2.2498 2.8011
16.1669 9.4102 7.9724
10.0057 2.1758 0.0444
```

Main lines, in order of falling intensity (2θ = 10–80°):
two_theta	I (rel.)
29.03	100
33.41	80
28.89	77
31.17	72
29.36	70
27.67	67



[3]
Diffraction record for Cd3Bi10O20. The PXRD pattern is computed, not measured: it uses a structure optimized by DFT (GGA-PBE) and CuKα.
Kinematic intensities with the Lorentz-polarization factor, no thermal factor.

Cell and atoms:
```
Cd3Bi10O20
1.0
7.2630 -5.0370 0.0000
7.2630 5.0370 0.0000
-7.2403 0.0000 7.3678
Cd Bi O
3 10 20
Cartesian
0.0000 0.0000 0.0000
3.6102 0.0706 0.9656
3.6756 0.0706 6.4022
-1.3347 1.8550 6.0702
4.9078 3.3110 2.1895
2.3779 3.3110 5.1783
1.2433 0.0524 3.6774
8.6204 1.8550 1.2976
-1.2613 -1.8511 5.9717
6.0424 0.0524 3.6904
2.2779 -3.2483 5.0200
5.0079 -3.2483 2.3478
8.5470 -1.8511 1.3961
-2.5167 3.2427 7.3361
0.0128 3.6289 5.5658
2.7798 2.4924 2.6694
-2.6677 0.0344 6.3342
7.2730 3.6289 1.8020
-0.6687 -0.0888 4.5990
9.8024 3.2427 0.0317
1.8668 1.2990 5.4098
5.4190 1.2990 1.9580
4.5059 2.4924 4.6984
5.2547 -1.2371 1.8979
2.5991 -2.5630 2.8536
2.0310 -1.2371 5.4699
0.0248 -3.2622 4.7929
-1.8161 -3.6855 7.2913
7.9545 -0.0888 2.7688
9.9535 0.0344 1.0336
4.6866 -2.5630 4.5142
9.1018 -3.6855 0.0765
7.2610 -3.2622 2.5749
```

Main lines, in order of falling intensity (2θ = 10–80°):
two_theta	I (rel.)
27.94	100
27.31	100
32.70	66
30.05	52
27.16	51
27.41	49